Calculated powder diffraction line list of KNa9Ag2 for Cu Kα, 1.54184 Å, from DFT lattice parameters and positions (GGA-PBE).

Cell and atoms:
```
KNa9Ag2
1.0
-6.761 6.761 4.457
6.761 -6.761 4.457
6.761 6.761 -4.457
K Na Ag
2 18 4
direct
0.375 0.625 0.750
0.625 0.375 0.250
0.125 0.875 0.250
0.140 0.572 0.324
0.140 0.816 0.568
0.184 0.252 0.324
0.184 0.860 0.932
0.252 0.184 0.824
0.252 0.428 0.068
0.428 0.252 0.568
0.428 0.860 0.176
0.572 0.140 0.824
0.572 0.748 0.432
0.748 0.572 0.932
0.748 0.816 0.176
0.816 0.140 0.068
0.816 0.748 0.676
0.860 0.184 0.432
0.860 0.428 0.676
0.875 0.125 0.750
0.000 0.000 0.000
0.000 0.000 0.500
0.000 0.500 0.000
0.500 0.000 0.500
```

Main lines, by intensity (2θ = 5–70°):
2theta	d [Å]	I (rel.)
35.89	2.502	100
11.89	7.442	100
17.72	5.004	81
34.66	2.588	80
25.77	3.457	63
23.91	3.721	48
18.56	4.781	44
28.95	3.084	41
30.81	2.902	39
33.61	2.667	33
26.37	3.380	33
44.87	2.020	27